Structure and theoretical XRD peak list of Ba2AlAsP (a cell relaxed with PBE; a wavelength of 1.5418 Å).
Lines closer than 0.1° are merged.

Principal peaks in the range 10 to 80 degrees two-theta, in order of rising 2θ:
index  2theta  intensity
0 0 2  22.04  22
1 0 1  23.36  32
0 2 2  29.84  47
1 2 1  30.85  100
1 0 3  39.48  32
0 4 0  40.36  16
2 2 2  52.21  19
1 4 3  57.74  19

Structure:
```
Ba2AlAsP
1.0
4.3210 0.0000 0.0000
0.0000 8.9380 0.0000
0.0000 0.0000 8.0650
Ba Al As P
4 2 2 2
Cartesian
1.0803 0.1177 1.8988
1.0803 4.3513 1.8988
3.2408 4.5866 6.1662
3.2408 8.8203 6.1662
1.0803 2.2345 4.7802
3.2408 6.7035 3.2848
1.0803 2.2345 7.1972
3.2408 6.7035 0.8677
1.0803 6.7035 4.4261
3.2408 2.2345 3.6389
```